SiSe: calculated X-ray powder pattern (Cu Kα X-rays), based on a cell relaxed with GGA-PBE.

Main lines, by angle (2θ = 10–90°):
- (0 0 4), 21.3 deg, intensity 54
- (0 1 1), 22.7 deg, intensity 100
- (0 1 3), 27.3 deg, intensity 76
- (1 0 3), 30.0 deg, intensity 78
- (1 1 2), 35.5 deg, intensity 65
- (1 1 6), 47.4 deg, intensity 73

Lattice parameters (Å, degrees): 3.527 4.026 16.688 90.00 90.00 90.00
Space group Imma (No. 74)
Unique sites:
Si1 0.000 0.250 0.039 (multiplicity 4)
Se1 0.000 0.250 0.371 (multiplicity 4)

***

SiSe: calculated X-ray powder pattern (Cu Kα X-rays), based on a cell relaxed with GGA-PBE.

Main lines, by angle (2θ = 10–90°):
- (0 0 1), 12.8 deg, intensity 42
- (1 -1 0), 24.6 deg, intensity 100
- (1 0 0), 24.8 deg, intensity 89
- (0 1 -2), 28.1 deg, intensity 50
- (0 1 1), 29.3 deg, intensity 64
- (1 1 -1), 39.1 deg, intensity 36

Lattice parameters (Å, degrees): 4.041 4.673 7.322 106.74 91.14 115.60
Space group P1 (No. 1)
Unique sites:
Si1 0.000 0.000 0.000 (multiplicity 1)
Si2 0.348 0.696 0.000 (multiplicity 1)
Se1 0.114 0.199 0.739 (multiplicity 1)
Se2 0.282 0.497 0.261 (multiplicity 1)

***

Si4Se3: calculated X-ray powder pattern (Cu Kα X-rays), based on a cell relaxed with GGA-PBE.

Main lines, by angle (2θ = 10–90°):
- (1 1 1), 29.8 deg, intensity 100
- (2 0 0), 34.6 deg, intensity 21
- (2 1 0), 38.8 deg, intensity 25
- (2 1 1), 42.7 deg, intensity 22
- (2 2 0), 49.7 deg, intensity 39
- (3 1 1), 59.0 deg, intensity 28

Lattice parameters (Å, degrees): 5.192 5.192 5.192 90.00 90.00 90.00
Space group P-43m (No. 215)
Unique sites:
Si1 0.175 0.175 0.825 (multiplicity 4)
Se1 0.000 0.500 0.500 (multiplicity 3)

***

Si3Se4: calculated X-ray powder pattern (Cu Kα X-rays), based on a cell relaxed with GGA-PBE.

Main lines, by angle (2θ = 10–90°):
- (1 1 1), 29.6 deg, intensity 65
- (2 0 0), 34.3 deg, intensity 100
- (2 2 0), 49.2 deg, intensity 70
- (3 1 1), 58.5 deg, intensity 28
- (2 2 2), 61.3 deg, intensity 24
- (4 2 0), 82.4 deg, intensity 31

Lattice parameters (Å, degrees): 5.236 5.236 5.236 90.00 90.00 90.00
Space group Pm-3m (No. 221)
Unique sites:
Si1 0.000 0.000 0.500 (multiplicity 3)
Se1 0.000 0.000 0.000 (multiplicity 1)
Se2 0.000 0.500 0.500 (multiplicity 3)

***

Si23Se4: calculated X-ray powder pattern (Cu Kα X-rays), based on a cell relaxed with GGA-PBE.

Main lines, by angle (2θ = 10–90°):
- (2 2 2), 30.5 deg, intensity 27
- (3 2 0), 31.8 deg, intensity 40
- (3 2 1), 33.0 deg, intensity 100
- (5 3 0), 52.5 deg, intensity 21
- (6 0 0), 54.2 deg, intensity 19
- (5 3 2), 55.8 deg, intensity 38

Lattice parameters (Å, degrees): 10.161 10.161 10.161 90.00 90.00 90.00
Space group Pm-3n (No. 223)
Unique sites:
Si1 0.000 0.116 0.312 (multiplicity 24)
Si2 0.000 0.250 0.500 (multiplicity 6)
Si3 0.182 0.182 0.182 (multiplicity 16)
Se1 0.000 0.000 0.000 (multiplicity 2)
Se2 0.000 0.500 0.250 (multiplicity 6)

***

Sm4SiSe2: calculated X-ray powder pattern (Cu Kα X-rays), based on a cell relaxed with GGA-PBE.

Main lines, by angle (2θ = 10–90°):
- (0 2 4), 28.9 deg, intensity 100
- (1 3 0), 29.5 deg, intensity 41
- (1 3 1), 30.2 deg, intensity 73
- (1 3 2), 32.2 deg, intensity 58
- (1 1 5), 39.8 deg, intensity 44
- (2 2 4), 53.6 deg, intensity 41

Lattice parameters (Å, degrees): 4.108 13.460 13.880 90.00 90.00 90.00
Space group Cmcm (No. 63)
Unique sites:
Sm1 0.000 0.000 0.000 (multiplicity 4)
Sm2 0.000 0.283 0.128 (multiplicity 8)
Sm3 0.000 0.451 0.750 (multiplicity 4)
Si1 0.000 0.104 0.750 (multiplicity 4)
Se1 0.000 0.360 0.564 (multiplicity 8)

***

SmSi2Se4: calculated X-ray powder pattern (Cu Kα X-rays), based on a cell relaxed with GGA-PBE.

Main lines, by angle (2θ = 10–90°):
- (1 0 1), 17.9 deg, intensity 34
- (0 0 2), 27.3 deg, intensity 31
- (1 2 1), 29.6 deg, intensity 100
- (2 2 0), 33.3 deg, intensity 22
- (3 1 2), 46.9 deg, intensity 40
- (1 2 3), 49.7 deg, intensity 23

Lattice parameters (Å, degrees): 7.617 7.617 6.526 90.00 90.00 90.00
Space group I4/m (No. 87)
Unique sites:
Sm1 0.000 0.000 0.000 (multiplicity 2)
Si1 0.000 0.500 0.250 (multiplicity 4)
Se1 0.166 0.688 0.500 (multiplicity 8)

***

TbSmSiSe: calculated X-ray powder pattern (Cu Kα X-rays), based on a cell relaxed with GGA-PBE.

Main lines, by angle (2θ = 10–90°):
- (0 1 2), 26.2 deg, intensity 32
- (1 0 4), 30.3 deg, intensity 100
- (0 1 8), 43.1 deg, intensity 37
- (1 1 0), 43.6 deg, intensity 37
- (0 2 4), 54.0 deg, intensity 20
- (2 1 4), 71.8 deg, intensity 17

Lattice parameters (Å, degrees): 4.1555 4.1555 20.6683 90.00 90.00 120.00
Space group R3m (No. 160, hexagonal axes)
Unique sites:
Tb1 0.0000 0.0000 0.0000 (multiplicity 3)
Sm1 0.0000 0.0000 0.5081 (multiplicity 3)
Si1 0.0000 0.0000 0.2553 (multiplicity 3)
Se1 0.0000 0.0000 0.7521 (multiplicity 3)

***

SmTlSiSe4: calculated X-ray powder pattern (Cu Kα X-rays), based on a cell relaxed with GGA-PBE.

Main lines, by angle (2θ = 10–90°):
- (1 1 0), 18.8 deg, intensity 100
- (2 0 -2), 29.2 deg, intensity 73
- (1 1 2), 31.0 deg, intensity 83
- (0 2 2), 33.2 deg, intensity 70
- (1 2 -2), 33.5 deg, intensity 81
- (3 1 0), 44.0 deg, intensity 70

Lattice parameters (Å, degrees): 6.775 6.920 9.041 90.00 107.36 90.00
Space group P2_1/m (No. 11)
Unique sites:
Sm1 0.233 0.250 0.054 (multiplicity 2)
Tl1 0.250 0.250 0.566 (multiplicity 2)
Si1 0.221 0.750 0.821 (multiplicity 2)
Se1 0.004 0.506 0.219 (multiplicity 4)
Se2 0.414 0.750 0.076 (multiplicity 2)
Se3 0.417 0.750 0.658 (multiplicity 2)

***

Tm6Si2SnSe3: calculated X-ray powder pattern (Cu Kα X-rays), based on a cell relaxed with GGA-PBE.

Main lines, by angle (2θ = 10–90°):
- (3 1 0), 26.7 deg, intensity 16
- (1 1 -2), 30.7 deg, intensity 100
- (7 1 -2), 43.9 deg, intensity 25
- (5 1 2), 44.1 deg, intensity 24
- (0 2 0), 44.5 deg, intensity 12
- (6 2 0), 55.0 deg, intensity 13

Lattice parameters (Å, degrees): 17.982 4.071 8.311 90.00 103.66 90.00
Space group C2/m (No. 12)
Unique sites:
Tm1 0.005 0.000 0.261 (multiplicity 4)
Tm2 0.170 0.500 0.100 (multiplicity 4)
Tm3 0.172 0.500 0.574 (multiplicity 4)
Si1 0.167 0.000 0.334 (multiplicity 4)
Sn1 0.000 0.500 0.000 (multiplicity 2)
Se1 0.000 0.500 0.500 (multiplicity 2)
Se2 0.166 0.000 0.832 (multiplicity 4)

***

Tb2SiSe4: calculated X-ray powder pattern (Cu Kα X-rays), based on a cell relaxed with GGA-PBE.

Main lines, by angle (2θ = 10–90°):
- (0 0 2), 14.7 deg, intensity 24
- (1 1 0), 19.7 deg, intensity 31
- (1 1 2), 24.7 deg, intensity 100
- (2 2 0), 40.1 deg, intensity 27
- (2 0 4), 41.3 deg, intensity 50
- (3 1 2), 47.7 deg, intensity 33

Lattice parameters (Å, degrees): 6.359 6.359 12.067 90.00 90.00 90.00
Space group I-42m (No. 121)
Unique sites:
Tb1 0.000 0.500 0.250 (multiplicity 4)
Si1 0.000 0.000 0.000 (multiplicity 2)
Se1 0.244 0.244 0.117 (multiplicity 8)

***

Tb8SiSe6: calculated X-ray powder pattern (Cu Kα X-rays), based on a cell relaxed with GGA-PBE.

Main lines, by angle (2θ = 10–90°):
- (2 -1 1), 27.8 deg, intensity 51
- (0 2 1), 29.5 deg, intensity 46
- (3 0 0), 29.7 deg, intensity 60
- (3 -1 1), 34.3 deg, intensity 100
- (2 2 1), 41.1 deg, intensity 45
- (3 2 1), 49.4 deg, intensity 38

Lattice parameters (Å, degrees): 10.4197 10.4197 4.0814 90.00 90.00 120.00
Space group P-3 (No. 147)
Unique sites:
Tb1 0.0304 0.3034 0.2441 (multiplicity 6)
Tb2 0.3333 0.6667 0.7523 (multiplicity 2)
Si1 0.0000 0.0000 0.0000 (multiplicity 1)
Se1 0.1287 0.6495 0.2502 (multiplicity 6)